This entry pairs a crystal structure of Na2C with its computed XRD peak list. Radiation: copper Kα. Structure: a cell relaxed with PBE.
Peak positions follow from Bragg's law for the DFT cell and can differ from measured ones.

Structural model:
```
Na2C
1.0
6.228 0.000 0.000
0.000 6.228 0.000
0.000 0.000 6.228
Na C
8 4
Direct
0.250 0.250 0.250
0.250 0.250 0.750
0.250 0.750 0.250
0.250 0.750 0.750
0.750 0.250 0.250
0.750 0.250 0.750
0.750 0.750 0.250
0.750 0.750 0.750
0.000 0.000 0.000
0.000 0.500 0.500
0.500 0.000 0.500
0.500 0.500 0.000
```

Main lines, in order of rising 2θ (2θ from 10° to 90°):
2theta  d (Å)  Rel. int.
24.76  3.595  110
28.67  3.114  557
40.99  2.202  1000
48.48  1.878  29
50.79  1.798  156
59.36  1.557  144
65.31  1.429  9
67.23  1.393  183
74.67  1.271  256
88.90  1.101  74

---

This entry pairs a crystal structure of NaC with its computed XRD peak list. Radiation: copper Kα. Structure: a cell relaxed with PBE.
Peak positions follow from Bragg's law for the DFT cell and can differ from measured ones.

Structural model:
```
NaC
1.0
-3.393 3.393 6.315
3.393 -3.393 6.315
3.393 3.393 -6.315
Na C
8 8
Direct
0.061 0.250 0.311
0.250 0.439 0.189
0.250 0.939 0.689
0.439 0.750 0.189
0.561 0.250 0.811
0.750 0.061 0.311
0.750 0.561 0.811
0.939 0.750 0.689
0.059 0.441 0.750
0.191 0.309 0.750
0.309 0.059 0.118
0.441 0.191 0.382
0.559 0.809 0.618
0.691 0.941 0.882
0.809 0.691 0.250
0.941 0.559 0.250
```

Main lines, in order of rising 2θ (2θ from 10° to 90°):
2theta  d (Å)  Rel. int.
23.28  3.821  534
26.26  3.393  325
28.27  3.157  133
30.29  2.951  199
36.50  2.462  356
37.48  2.400  359
38.96  2.312  1000
46.79  1.942  161
48.92  1.862  216
56.37  1.632  172

---

This entry pairs a crystal structure of NaNdC2O6 with its computed XRD peak list. Radiation: copper Kα. Structure: a cell relaxed with PBE.
Peak positions follow from Bragg's law for the DFT cell and can differ from measured ones.

Structural model:
```
NaNdC2O6
1.0
5.170 0.000 0.000
0.000 6.410 0.000
0.000 0.000 7.153
Na Nd C O
2 2 4 12
Direct
0.000 0.018 0.000
0.000 0.982 0.500
0.500 0.370 0.300
0.500 0.630 0.800
0.000 0.464 0.971
0.000 0.536 0.471
0.500 0.080 0.715
0.500 0.920 0.215
0.000 0.358 0.387
0.000 0.642 0.887
0.221 0.375 0.007
0.221 0.625 0.507
0.287 0.016 0.252
0.287 0.984 0.752
0.500 0.265 0.637
0.500 0.735 0.137
0.713 0.016 0.252
0.713 0.984 0.752
0.779 0.375 0.007
0.779 0.625 0.507
```

Main lines, in order of rising 2θ (2θ from 10° to 90°):
2theta  d (Å)  Rel. int.
13.81  6.410  567
17.15  5.170  846
18.59  4.774  900
22.09  4.024  385
25.40  3.507  663
30.39  2.941  1000
30.56  2.925  637
35.26  2.546  725
45.55  1.991  443
46.91  1.937  544

---

This entry pairs a crystal structure of NaNdPCO7 with its computed XRD peak list. Radiation: copper Kα. Structure: a cell relaxed with PBE.
Peak positions follow from Bragg's law for the DFT cell and can differ from measured ones.

Structural model:
```
NaNdPCO7
1.0
5.298 0.000 0.000
0.000 7.163 0.000
-0.084 0.000 9.743
Na Nd P C O
2 2 2 2 14
Direct
0.229 0.000 0.269
0.771 0.500 0.731
0.220 0.185 0.873
0.780 0.685 0.127
0.284 0.692 0.916
0.716 0.192 0.084
0.276 0.243 0.571
0.724 0.743 0.429
0.051 0.253 0.619
0.153 0.518 0.856
0.210 0.713 0.072
0.212 0.869 0.836
0.312 0.203 0.446
0.424 0.163 0.084
0.460 0.267 0.657
0.540 0.767 0.343
0.576 0.663 0.916
0.688 0.703 0.554
0.788 0.369 0.164
0.790 0.213 0.928
0.847 0.018 0.144
0.949 0.753 0.381
```

Main lines, in order of rising 2θ (2θ from 10° to 90°):
2theta  d (Å)  Rel. int.
15.35  5.771  720
19.00  4.671  254
19.14  4.637  439
20.86  4.259  749
24.72  3.601  494
24.89  3.578  1000
26.52  3.361  294
31.52  2.838  373
33.84  2.649  257
34.86  2.574  250

---

This entry pairs a crystal structure of NaNpCO5 with its computed XRD peak list. Radiation: copper Kα. Structure: a cell relaxed with PBE.
Peak positions follow from Bragg's law for the DFT cell and can differ from measured ones.

Structural model:
```
NaNpCO5
1.0
4.927 0.000 0.000
0.000 4.393 0.000
0.000 0.000 11.036
Na Np C O
2 2 2 10
Direct
0.000 0.240 0.000
0.500 0.760 0.500
0.000 0.720 0.255
0.500 0.280 0.755
0.000 0.900 0.750
0.500 0.100 0.250
0.000 0.195 0.772
0.000 0.720 0.422
0.000 0.728 0.086
0.234 0.772 0.740
0.266 0.228 0.240
0.500 0.272 0.586
0.500 0.280 0.922
0.500 0.805 0.272
0.734 0.228 0.240
0.766 0.772 0.740
```

Main lines, in order of rising 2θ (2θ from 10° to 90°):
2theta  d (Å)  Rel. int.
16.06  5.518  1000
19.73  4.499  887
21.77  4.082  748
27.20  3.279  478
31.74  2.819  802
32.45  2.759  255
42.87  2.110  618
45.99  1.973  331
49.10  1.855  201
60.11  1.539  200

---

This entry pairs a crystal structure of Na3C2O8 with its computed XRD peak list. Radiation: copper Kα. Structure: a cell relaxed with PBE.
Peak positions follow from Bragg's law for the DFT cell and can differ from measured ones.

Structural model:
```
Na3C2O8
1.0
10.617 -1.762 0.000
10.617 1.762 0.000
-4.097 0.000 8.935
Na C O
6 4 16
Direct
0.095 0.251 0.859
0.190 0.810 0.750
0.251 0.095 0.359
0.749 0.905 0.641
0.810 0.190 0.250
0.905 0.749 0.141
0.199 0.599 0.943
0.401 0.801 0.557
0.599 0.199 0.443
0.801 0.401 0.057
0.096 0.745 0.852
0.231 0.616 0.082
0.233 0.356 0.448
0.255 0.904 0.648
0.285 0.373 0.860
0.356 0.233 0.948
0.373 0.285 0.360
0.384 0.769 0.418
0.616 0.231 0.582
0.627 0.715 0.640
0.644 0.767 0.052
0.715 0.627 0.140
0.745 0.096 0.352
0.767 0.644 0.552
0.769 0.384 0.918
0.904 0.255 0.148
```

Main lines, in order of rising 2θ (2θ from 10° to 90°):
2theta  d (Å)  Rel. int.
18.39  4.825  282
26.55  3.357  220
28.30  3.154  601
31.46  2.844  1000
31.73  2.820  253
32.49  2.756  909
37.28  2.412  288
41.42  2.180  210
44.98  2.015  294
51.77  1.766  193

---

This entry pairs a crystal structure of Na4CO4 with its computed XRD peak list. Radiation: copper Kα. Structure: a cell relaxed with PBE.
Peak positions follow from Bragg's law for the DFT cell and can differ from measured ones.

Structural model:
```
Na4CO4
1.0
4.588 -2.656 0.000
4.588 2.656 0.000
-2.459 0.000 4.876
Na C O
4 1 4
Direct
0.133 0.133 0.387
0.291 0.391 0.967
0.609 0.709 0.033
0.867 0.867 0.613
0.581 0.419 0.500
0.346 0.487 0.611
0.513 0.654 0.389
0.626 0.145 0.287
0.855 0.374 0.713
```

Main lines, in order of rising 2θ (2θ from 10° to 90°):
2theta  d (Å)  Rel. int.
18.19  4.876  473
19.92  4.457  646
23.51  3.784  607
33.74  2.656  573
34.02  2.636  1000
37.46  2.401  484
40.60  2.222  316
44.22  2.048  410
48.09  1.892  671
48.92  1.862  518